No. 1
For Na3SnPb12, a cell relaxed with PBE gives the computed powder XRD pattern in this record (Cu Kα (λ = 1.5418 Å)).
No peak broadening, texture or thermal motion is included.

Most intense lines, 5° ≤ 2θ ≤ 70°, by angle:
- 2θ 18.3, intensity 10, (1 0 0)
- 2θ 25.3, intensity 9, (1 0 4)
- 2θ 31.4, intensity 100, (1 1 4)
- 2θ 35.1, intensity 19, (0 0 8)
- 2θ 37.1, intensity 33, (2 0 0)
- 2θ 52.0, intensity 25, (2 0 8)
- 2θ 53.4, intensity 12, (2 2 0)
- 2θ 60.7, intensity 15, (1 1 12)
- 2θ 63.3, intensity 28, (3 1 4)
- 2θ 65.5, intensity 13, (2 2 8)

Cell and atoms:
```
data_Na3SnPb12
_space_group_name_H-M_alt 'P 4/m m m'
_space_group_IT_number 123
_space_group_name_Hall '-P 4 2'
_cell_length_a 4.8522
_cell_length_b 4.8522
_cell_length_c 20.4344
_cell_angle_alpha 90.00
_cell_angle_beta 90.00
_cell_angle_gamma 90.00
loop_
_atom_site_label
_atom_site_type_symbol
_atom_site_fract_x
_atom_site_fract_y
_atom_site_fract_z
Na1 Na 0.0000 0.0000 0.0000
Na2 Na 0.0000 0.0000 0.2465
Sn1 Sn 0.0000 0.0000 0.5000
Pb1 Pb 0.0000 0.5000 0.1240
Pb2 Pb 0.0000 0.5000 0.3720
Pb3 Pb 0.5000 0.5000 0.0000
Pb4 Pb 0.5000 0.5000 0.2475
Pb5 Pb 0.5000 0.5000 0.5000
```

No. 2
For Pu3Mn6Si2, a cell relaxed with PBE gives the computed powder XRD pattern in this record (Cu Kα (λ = 1.5418 Å)).
No peak broadening, texture or thermal motion is included.

Most intense lines, 5° ≤ 2θ ≤ 70°, by angle:
- 2θ 20.2, intensity 25, (2 0 0)
- 2θ 24.8, intensity 53, (2 1 1)
- 2θ 28.7, intensity 22, (2 2 0)
- 2θ 32.2, intensity 50, (3 1 0)
- 2θ 35.4, intensity 85, (2 2 2)
- 2θ 38.3, intensity 50, (3 2 1)
- 2θ 41.1, intensity 39, (4 0 0)
- 2θ 43.7, intensity 100, (3 3 0)
- 2θ 57.4, intensity 37, (5 2 1)
- 2θ 65.5, intensity 26, (5 3 2)

Cell and atoms:
```
data_Pu3Mn6Si2
_space_group_name_H-M_alt 'I m -3 m'
_space_group_IT_number 229
_space_group_name_Hall '-I 4 2 3'
_cell_length_a 8.7864
_cell_length_b 8.7864
_cell_length_c 8.7864
_cell_angle_alpha 90.00
_cell_angle_beta 90.00
_cell_angle_gamma 90.00
loop_
_atom_site_label
_atom_site_type_symbol
_atom_site_fract_x
_atom_site_fract_y
_atom_site_fract_z
Pu1 Pu 0.0000 0.0000 0.2706
Mn1 Mn 0.0000 0.3482 0.3482
Si1 Si 0.2500 0.2500 0.2500
```

No. 3
For Dy8Ho6Th, a cell relaxed with PBE gives the computed powder XRD pattern in this record (Cu Kα (λ = 1.5418 Å)).
No peak broadening, texture or thermal motion is included.

Most intense lines, 5° ≤ 2θ ≤ 70°, by angle:
- 2θ 30.7, intensity 19, (3 -1 1)
- 2θ 31.7, intensity 100, (2 0 5)
- 2θ 32.6, intensity 31, (1 0 7)
- 2θ 32.9, intensity 8, (1 1 6)
- 2θ 35.2, intensity 12, (2 1 4)
- 2θ 37.1, intensity 14, (0 3 3)
- 2θ 53.5, intensity 11, (0 3 9)
- 2θ 54.5, intensity 8, (3 2 4)
- 2θ 55.8, intensity 10, (5 -1 3)
- 2θ 60.7, intensity 10, (5 -2 7)

Cell and atoms:
```
data_Dy8Ho6Th
_space_group_name_H-M_alt 'R -3'
_space_group_IT_number 148
_space_group_name_Hall '-R 3'
_cell_length_a 8.9822
_cell_length_b 8.9822
_cell_length_c 20.5492
_cell_angle_alpha 90.00
_cell_angle_beta 90.00
_cell_angle_gamma 120.00
loop_
_atom_site_label
_atom_site_type_symbol
_atom_site_fract_x
_atom_site_fract_y
_atom_site_fract_z
Dy1 Dy 0.0000 0.0000 0.0772
Dy2 Dy 0.0817 0.5568 0.3060
Ho1 Ho 0.0573 0.2454 0.2083
Th1 Th 0.0000 0.0000 0.5000
```

No. 4
For RbCo5S8, a cell relaxed with PBE gives the computed powder XRD pattern in this record (Cu Kα (λ = 1.5418 Å)).
No peak broadening, texture or thermal motion is included.

Most intense lines, 5° ≤ 2θ ≤ 70°, by angle:
- 2θ 11.2, intensity 59, (0 0 1)
- 2θ 21.1, intensity 66, (4 0 -1)
- 2θ 22.6, intensity 46, (0 0 2)
- 2θ 33.8, intensity 42, (6 0 -2)
- 2θ 34.6, intensity 100, (3 1 1)
- 2θ 35.8, intensity 46, (3 1 -2)
- 2θ 43.1, intensity 54, (3 1 -3)
- 2θ 50.2, intensity 64, (3 1 3)
- 2θ 54.3, intensity 46, (0 2 0)
- 2θ 54.7, intensity 74, (9 1 -1)

Cell and atoms:
```
data_RbCo5S8
_space_group_name_H-M_alt 'C 1 m 1'
_space_group_IT_number 8
_cell_length_a 17.4130
_cell_length_b 3.3772
_cell_length_c 8.1918
_cell_angle_alpha 90.00
_cell_angle_beta 106.15
_cell_angle_gamma 90.00
loop_
_space_group_symop_operation_xyz
'x,y,z'
'x,-y,z'
'x+1/2,y+1/2,z'
'x+1/2,-y+1/2,z'
loop_
_atom_site_label
_atom_site_type_symbol
_atom_site_fract_x
_atom_site_fract_y
_atom_site_fract_z
Rb1 Rb 0.0000 0.0000 0.0000
Co1 Co 0.9997 0.5000 0.5003
Co2 Co 0.1597 0.0000 0.4770
Co3 Co 0.2034 0.0000 0.8244
Co4 Co 0.2962 0.5000 0.1759
Co5 Co 0.3397 0.5000 0.5234
S1 S 0.0769 0.0000 0.6357
S2 S 0.0878 0.5000 0.3409
S3 S 0.1779 0.5000 0.9807
S4 S 0.2392 0.5000 0.6537
S5 S 0.2603 0.0000 0.3466
S6 S 0.3216 0.0000 0.0197
S7 S 0.4116 0.0000 0.6596
S8 S 0.4226 0.5000 0.3647
```

No. 5
For HRu8, a cell relaxed with PBE gives the computed powder XRD pattern in this record (Cu Kα (λ = 1.5418 Å)).
No peak broadening, texture or thermal motion is included.

Most intense lines, 5° ≤ 2θ ≤ 70°, by angle:
- 2θ 37.7, intensity 25, (2 0 0)
- 2θ 41.9, intensity 25, (0 0 2)
- 2θ 43.4, intensity 100, (2 0 1)
- 2θ 57.6, intensity 14, (0 2 2)
- 2θ 68.1, intensity 17, (2 2 0)

Cell and atoms:
```
data_HRu8
_space_group_name_H-M_alt 'P -3 m 1'
_space_group_IT_number 164
_space_group_name_Hall '-P 3 2"'
_cell_length_a 5.5047
_cell_length_b 5.5047
_cell_length_c 4.3166
_cell_angle_alpha 90.00
_cell_angle_beta 90.00
_cell_angle_gamma 120.00
loop_
_atom_site_label
_atom_site_type_symbol
_atom_site_fract_x
_atom_site_fract_y
_atom_site_fract_z
H1 H 0.0000 0.0000 0.0000
Ru1 Ru 0.1709 0.3418 0.7466
Ru2 Ru 0.3333 0.6667 0.2489
```

No. 6
For LiAc3In2Hg6, a cell relaxed with PBE gives the computed powder XRD pattern in this record (Cu Kα (λ = 1.5418 Å)).
No peak broadening, texture or thermal motion is included.

Most intense lines, 5° ≤ 2θ ≤ 70°, by angle:
- 2θ 18.2, intensity 14, (0 1 1)
- 2θ 29.1, intensity 31, (0 0 3)
- 2θ 31.2, intensity 16, (2 0 0)
- 2θ 32.7, intensity 100, (0 2 1)
- 2θ 33.1, intensity 17, (1 0 3)
- 2θ 33.3, intensity 37, (1 1 2)
- 2θ 36.9, intensity 48, (2 0 2)
- 2θ 55.5, intensity 28, (2 2 0)
- 2θ 57.3, intensity 16, (1 1 5)
- 2θ 63.9, intensity 20, (2 2 3)

Cell and atoms:
```
data_LiAc3In2Hg6
_space_group_name_H-M_alt 'P -3 m 1'
_space_group_IT_number 164
_space_group_name_Hall '-P 3 2"'
_cell_length_a 6.6259
_cell_length_b 6.6259
_cell_length_c 9.2027
_cell_angle_alpha 90.00
_cell_angle_beta 90.00
_cell_angle_gamma 120.00
loop_
_atom_site_label
_atom_site_type_symbol
_atom_site_fract_x
_atom_site_fract_y
_atom_site_fract_z
Li1 Li 0.0000 0.0000 0.0000
Ac1 Ac 0.0000 0.0000 0.5000
Ac2 Ac 0.3333 0.6667 0.1221
In1 In 0.3333 0.6667 0.5037
Hg1 Hg 0.1741 0.3481 0.7889
```

No. 7
For Cs2Nb3Cl10, a cell relaxed with PBE gives the computed powder XRD pattern in this record (Cu Kα (λ = 1.5418 Å)).
No peak broadening, texture or thermal motion is included.

Most intense lines, 5° ≤ 2θ ≤ 70°, by angle:
- 2θ 21.6, intensity 79, (3 1 1)
- 2θ 21.8, intensity 48, (1 1 -2)
- 2θ 22.2, intensity 70, (3 1 -2)
- 2θ 22.4, intensity 81, (6 0 -1)
- 2θ 31.3, intensity 49, (0 2 2)
- 2θ 32.5, intensity 47, (2 0 3)
- 2θ 33.5, intensity 100, (6 2 -1)
- 2θ 39.9, intensity 33, (8 2 -2)
- 2θ 44.1, intensity 30, (4 2 -4)
- 2θ 50.5, intensity 76, (8 2 2)

Cell and atoms:
```
data_Cs2Nb3Cl10
_space_group_name_H-M_alt 'C 1 2/m 1'
_space_group_IT_number 12
_cell_length_a 23.8757
_cell_length_b 7.2283
_cell_length_c 10.0030
_cell_angle_alpha 90.00
_cell_angle_beta 110.95
_cell_angle_gamma 90.00
loop_
_space_group_symop_operation_xyz
'x,y,z'
'-x,-y,-z'
'-x,y,-z'
'x,-y,z'
'x+1/2,y+1/2,z'
'-x+1/2,-y+1/2,-z'
'-x+1/2,y+1/2,-z'
'x+1/2,-y+1/2,z'
loop_
_atom_site_label
_atom_site_type_symbol
_atom_site_fract_x
_atom_site_fract_y
_atom_site_fract_z
Cs1 Cs 0.1292 0.0000 0.2371
Cs2 Cs 0.2315 0.0000 0.8356
Nb1 Nb 0.0000 0.1903 0.5000
Nb2 Nb 0.0577 0.5000 0.9740
Nb3 Nb 0.1736 0.5000 0.5196
Cl1 Cl 0.0000 0.2300 0.0000
Cl2 Cl 0.0156 0.5000 0.6864
Cl3 Cl 0.0193 0.0000 0.7113
Cl4 Cl 0.1087 0.2337 0.5379
Cl5 Cl 0.1207 0.5000 0.2427
Cl6 Cl 0.1318 0.2677 0.9569
Cl7 Cl 0.2276 0.5000 0.7773
Cl8 Cl 0.2500 0.2500 0.5000
```

No. 8
For Cd12GaHg3, a cell relaxed with PBE gives the computed powder XRD pattern in this record (Cu Kα (λ = 1.5418 Å)).
No peak broadening, texture or thermal motion is included.

Most intense lines, 5° ≤ 2θ ≤ 70°, by angle:
- 2θ 32.4, intensity 100, (1 1 3)
- 2θ 36.2, intensity 37, (0 0 8)
- 2θ 37.5, intensity 34, (0 2 -2)
- 2θ 39.0, intensity 60, (1 1 -5)
- 2θ 42.7, intensity 23, (0 2 6)
- 2θ 50.1, intensity 15, (2 0 0)
- 2θ 58.3, intensity 17, (-1 1 11)
- 2θ 60.1, intensity 16, (-1 3 1)
- 2θ 63.4, intensity 14, (2 0 -8)
- 2θ 64.3, intensity 13, (2 2 -2)

Cell and atoms:
```
data_Cd12GaHg3
_space_group_name_H-M_alt 'P -1'
_space_group_IT_number 2
_cell_length_a 3.6392
_cell_length_b 5.0959
_cell_length_c 19.9587
_cell_angle_alpha 84.18
_cell_angle_beta 89.97
_cell_angle_gamma 89.99
loop_
_space_group_symop_operation_xyz
'x,y,z'
'-x,-y,-z'
loop_
_atom_site_label
_atom_site_type_symbol
_atom_site_fract_x
_atom_site_fract_y
_atom_site_fract_z
Cd1 Cd 0.0000 0.0000 0.0000
Cd2 Cd 0.9996 0.1257 0.6266
Cd3 Cd 0.0000 0.5000 0.5000
Cd4 Cd 0.0009 0.7527 0.7525
Cd5 Cd 0.0022 0.3856 0.8796
Cd6 Cd 0.4978 0.1216 0.1214
Cd7 Cd 0.5003 0.3749 0.3734
Ga1 Ga 0.5000 0.5000 0.0000
Hg1 Hg 0.4993 0.7480 0.2466
Hg2 Hg 0.5000 0.0000 0.5000
```

No. 9
For GdScZnGe, a cell relaxed with PBE gives the computed powder XRD pattern in this record (Cu Kα (λ = 1.5418 Å)).
No peak broadening, texture or thermal motion is included.

Most intense lines, 5° ≤ 2θ ≤ 70°, by angle:
- 2θ 22.2, intensity 24, (1 1 1)
- 2θ 25.7, intensity 3, (2 0 0)
- 2θ 36.7, intensity 100, (2 2 0)
- 2θ 43.3, intensity 13, (3 1 1)
- 2θ 45.3, intensity 1, (2 2 2)
- 2θ 52.8, intensity 17, (4 0 0)
- 2θ 58.0, intensity 6, (3 3 1)
- 2θ 59.7, intensity 1, (4 2 0)
- 2θ 66.0, intensity 34, (4 2 2)

Cell and atoms:
```
data_GdScZnGe
_space_group_name_H-M_alt 'F -4 3 m'
_space_group_IT_number 216
_space_group_name_Hall 'F -4 2 3'
_cell_length_a 6.9309
_cell_length_b 6.9309
_cell_length_c 6.9309
_cell_angle_alpha 90.00
_cell_angle_beta 90.00
_cell_angle_gamma 90.00
loop_
_atom_site_label
_atom_site_type_symbol
_atom_site_fract_x
_atom_site_fract_y
_atom_site_fract_z
Gd1 Gd 0.0000 0.0000 0.0000
Sc1 Sc 0.0000 0.0000 0.5000
Zn1 Zn 0.2500 0.2500 0.7500
Ge1 Ge 0.2500 0.2500 0.2500
```

Copy entry 5 word for word.
For HRu8, a cell relaxed with PBE gives the computed powder XRD pattern in this record (Cu Kα (λ = 1.5418 Å)).
No peak broadening, texture or thermal motion is included.

Most intense lines, 5° ≤ 2θ ≤ 70°, by angle:
- 2θ 37.7, intensity 25, (2 0 0)
- 2θ 41.9, intensity 25, (0 0 2)
- 2θ 43.4, intensity 100, (2 0 1)
- 2θ 57.6, intensity 14, (0 2 2)
- 2θ 68.1, intensity 17, (2 2 0)

Cell and atoms:
```
data_HRu8
_space_group_name_H-M_alt 'P -3 m 1'
_space_group_IT_number 164
_space_group_name_Hall '-P 3 2"'
_cell_length_a 5.5047
_cell_length_b 5.5047
_cell_length_c 4.3166
_cell_angle_alpha 90.00
_cell_angle_beta 90.00
_cell_angle_gamma 120.00
loop_
_atom_site_label
_atom_site_type_symbol
_atom_site_fract_x
_atom_site_fract_y
_atom_site_fract_z
H1 H 0.0000 0.0000 0.0000
Ru1 Ru 0.1709 0.3418 0.7466
Ru2 Ru 0.3333 0.6667 0.2489
```

Please write out number 9 again, unchanged.
For GdScZnGe, a cell relaxed with PBE gives the computed powder XRD pattern in this record (Cu Kα (λ = 1.5418 Å)).
No peak broadening, texture or thermal motion is included.

Most intense lines, 5° ≤ 2θ ≤ 70°, by angle:
- 2θ 22.2, intensity 24, (1 1 1)
- 2θ 25.7, intensity 3, (2 0 0)
- 2θ 36.7, intensity 100, (2 2 0)
- 2θ 43.3, intensity 13, (3 1 1)
- 2θ 45.3, intensity 1, (2 2 2)
- 2θ 52.8, intensity 17, (4 0 0)
- 2θ 58.0, intensity 6, (3 3 1)
- 2θ 59.7, intensity 1, (4 2 0)
- 2θ 66.0, intensity 34, (4 2 2)

Cell and atoms:
```
data_GdScZnGe
_space_group_name_H-M_alt 'F -4 3 m'
_space_group_IT_number 216
_space_group_name_Hall 'F -4 2 3'
_cell_length_a 6.9309
_cell_length_b 6.9309
_cell_length_c 6.9309
_cell_angle_alpha 90.00
_cell_angle_beta 90.00
_cell_angle_gamma 90.00
loop_
_atom_site_label
_atom_site_type_symbol
_atom_site_fract_x
_atom_site_fract_y
_atom_site_fract_z
Gd1 Gd 0.0000 0.0000 0.0000
Sc1 Sc 0.0000 0.0000 0.5000
Zn1 Zn 0.2500 0.2500 0.7500
Ge1 Ge 0.2500 0.2500 0.2500
```